Computed X-ray powder pattern
Compound: Mg4Si3
Radiation: Cu Kα (λ = 1.5418 Å)
Structure: a DFT-relaxed cell (PBE, the Materials Project)

Peak list (12 most intense, 10° ≤ 2θ ≤ 90°, by angle)
| hkl | d [Å] | 2θ/deg | I (rel.) |
| --- | --- | --- | --- |
| -1 2 2 | 2.871 | 31.15 | 12 |
| 1 1 -4 | 2.607 | 34.40 | 56 |
| 0 2 3 | 2.560 | 35.06 | 15 |
| 1 2 1 | 2.532 | 35.45 | 54 |
| 2 -1 3 | 2.491 | 36.06 | 100 |
| 0 1 5 | 2.403 | 37.43 | 67 |
| -2 2 2 | 2.385 | 37.72 | 80 |
| 2 1 2 | 2.305 | 39.09 | 16 |
| -2 1 4 | 2.256 | 39.97 | 10 |
| 1 -3 2 | 2.146 | 42.10 | 31 |
| 2 -3 0 | 2.028 | 44.69 | 12 |
| 3 0 -1 | 2.001 | 45.33 | 30 |

Cell and atoms:
Cell lengths 6.247, 6.765, 13.210 Å; angles 92.51, 91.46, 104.67 degrees
Sites, in units of the cell vectors:
Mg 0.000 0.000 0.000
Mg 0.006 0.247 0.791
Mg 0.076 0.431 0.127
Mg 0.131 0.685 0.492
Mg 0.181 0.324 0.346
Mg 0.239 0.888 0.808
Mg 0.263 0.177 0.556
Mg 0.371 0.391 0.943
Mg 0.404 0.818 0.042
Mg 0.469 0.021 0.374
Mg 0.555 0.297 0.745
Mg 0.605 0.618 0.496
Mg 0.694 0.753 0.826
Mg 0.732 0.456 0.291
Mg 0.786 0.981 0.205
Mg 0.811 0.253 0.527
Si 0.021 0.595 0.939
Si 0.112 0.800 0.247
Si 0.285 0.133 0.173
Si 0.304 0.549 0.678
Si 0.422 0.662 0.261
Si 0.510 0.915 0.631
Si 0.632 0.241 0.087
Si 0.645 0.113 0.914
Si 0.733 0.619 0.056
Si 0.904 0.926 0.646
Si 0.915 0.565 0.671
Si 0.945 0.952 0.400